[1]
Theoretical powder XRD pattern
Compound: La2MgGa4Pt3
Radiation: CuKα
Structure: a structure optimized by DFT (PBE)

Crystal structure
```
La2MgGa4Pt3
1.0
4.311 0.000 0.000
0.000 4.311 0.000
0.000 0.000 10.991
La Mg Ga Pt
2 1 4 3
Cartesian
0.000 2.156 2.596
2.156 0.000 8.395
0.000 0.000 5.495
0.000 0.000 0.000
0.000 2.156 7.061
2.156 0.000 3.930
2.156 2.156 0.000
0.000 2.156 9.573
2.156 0.000 1.418
2.156 2.156 5.495
```

Main lines, low angle first (5 to 70 degrees two-theta):
- 26.3 deg, rel. 25
- 29.3 deg, rel. 29
- 32.1 deg, rel. 87
- 33.6 deg, rel. 100
- 41.9 deg, rel. 79
- 44.4 deg, rel. 38
- 46.4 deg, rel. 44
- 53.7 deg, rel. 41
- 60.8 deg, rel. 26
- 64.3 deg, rel. 33

[2]
Theoretical powder XRD pattern
Compound: LaMgScGa
Radiation: CuKα
Structure: a structure optimized by DFT (PBE)

Crystal structure
```
LaMgScGa
1.0
0.000 3.656 3.656
3.656 0.000 3.656
3.656 3.656 0.000
La Mg Sc Ga
1 1 1 1
Cartesian
0.000 0.000 0.000
1.828 1.828 1.828
3.656 3.656 3.656
5.484 5.484 5.484
```

Main lines, low angle first (5 to 70 degrees two-theta):
- 21.0 deg, rel. 31
- 24.3 deg, rel. 11
- 34.7 deg, rel. 100
- 40.9 deg, rel. 17
- 42.8 deg, rel. 3
- 49.9 deg, rel. 17
- 54.7 deg, rel. 8
- 56.3 deg, rel. 4
- 62.2 deg, rel. 35
- 66.4 deg, rel. 6